Structure and calculated PXRD pattern of LiVN2 (a GGA-PBE-relaxed structure; Cu Ka).
Kinematic intensities with the Lorentz-polarization factor, no thermal factor.

Crystal structure
```
16
Lattice="5.471 0.000 0.000 0.000 6.653 0.000 0.000 0.000 5.084" Properties=species:S:1:pos:R:3 pbc="T T T"
Li 0.450 0.818 0.000
Li 2.285 4.144 2.542
Li 3.186 2.509 0.000
Li 5.020 5.835 2.542
V 0.405 4.160 0.066
V 2.331 0.834 2.608
V 3.140 5.819 0.066
V 5.066 2.493 2.608
N 0.294 3.987 1.861
N 0.577 1.028 2.158
N 2.158 4.354 4.700
N 2.441 0.661 4.402
N 3.030 5.992 1.861
N 3.313 2.299 2.158
N 4.894 5.625 4.700
N 5.176 2.666 4.402
```

Most intense lines, 5 to 70 degrees two-theta, by intensity:
Position (°2θ)  Rel. int.
22.00  100.0
21.02  89.7
36.21  50.4
35.31  40.3
31.48  39.3
57.65  28.4
32.74  27.5
55.24  23.1
63.96  22.0
27.45  20.9